SrCuF4: simulated powder diffractogram (Cu Kα, 1.54184 Å), based on a GGA-PBE-relaxed structure.

Structure:
```
data_SrCuF4
_chemical_formula_sum 'Sr4 Cu4 F16'
_space_group_name_H-M_alt 'I 4/m c m'
_space_group_IT_number 140
_space_group_name_Hall '-I 4 2c'
_cell_length_a 5.756
_cell_length_b 5.756
_cell_length_c 10.697
_cell_angle_alpha 90.00
_cell_angle_beta 90.00
_cell_angle_gamma 90.00
loop_
_atom_site_label
_atom_site_type_symbol
_atom_site_fract_x
_atom_site_fract_y
_atom_site_fract_z
_atom_site_occupancy
Sr1 Sr 0.000 0.000 0.250 1
Cu1 Cu 0.000 0.500 0.000 1
F1 F 0.169 0.331 0.125 1
```

Main lines, in order of rising 2θ (2θ = 10–90°):
2theta, intensity, hkl
27.54, 100, 1 1 2
31.07, 19, 2 0 0
44.52, 17, 2 2 0
46.34, 36, 2 0 4
53.15, 31, 3 1 2
56.34, 13, 1 1 6